Starting from the PBE+U geometry in Alexandria, the PXRD pattern of Sr4Mo3O10 was calculated for Cu Kα X-rays.

Most intense lines, 10° ≤ 2θ ≤ 80°, in order of rising 2θ:
| d (Å) | intensity | h k l |
| --- | --- | --- |
| 2.912 | 1000 | 1 0 7 |
| 2.881 | 577 | 1 1 0 |
| 2.260 | 46 | 1 1 8 |
| 2.082 | 160 | 0 0 14 |
| 2.037 | 358 | 2 0 0 |
| 1.688 | 188 | 1 1 14 |
| 1.669 | 387 | 2 1 7 |
| 1.456 | 189 | 2 0 14 |
| 1.441 | 108 | 2 2 0 |
| 1.314 | 57 | 1 0 21 |
| 1.291 | 85 | 3 0 7 |
| 1.288 | 96 | 3 1 0 |

Atomic structure:
a = 4.0745 Å, b = 4.0745 Å, c = 29.1486 Å
α = 90.00°, β = 90.00°, γ = 90.00°
Space group I4/mmm (No. 139)
Asymmetric unit:
1 Sr 0.0000 0.0000 0.0694 [4 per cell]
2 Sr 0.0000 0.0000 0.2047 [4 per cell]
3 Mo 0.0000 0.0000 0.3587 [4 per cell]
4 Mo 0.0000 0.0000 0.5000 [2 per cell]
5 O 0.0000 0.0000 0.2870 [4 per cell]
6 O 0.0000 0.0000 0.4323 [4 per cell]
7 O 0.0000 0.5000 0.0000 [4 per cell]
8 O 0.0000 0.5000 0.1383 [8 per cell]